Calculated powder diffractogram of ThZn2Ga for Cu Kα, 1.54184 Å, from a crystal structure in Alexandria, relaxed with GGA-PBE.

Structure:
```
data_ThZn2Ga
_chemical_formula_sum 'Th4 Zn8 Ga4'
_cell_length_a 6.726
_cell_length_b 4.547
_cell_length_c 10.549
_cell_angle_alpha 90.00
_cell_angle_beta 90.00
_cell_angle_gamma 90.00
_space_group_name_H-M_alt 'P 1'
_space_group_IT_number 1
_space_group_name_Hall 'P 1'
loop_
_atom_site_label
_atom_site_type_symbol
_atom_site_fract_x
_atom_site_fract_y
_atom_site_fract_z
_atom_site_occupancy
Th1 Th 0.000 0.000 0.000 1
Th2 Th 0.000 0.500 0.500 1
Th3 Th 0.500 0.000 0.207 1
Th4 Th 0.500 0.500 0.707 1
Zn1 Zn 0.000 0.000 0.299 1
Zn2 Zn 0.000 0.500 0.799 1
Zn3 Zn 0.311 0.000 0.482 1
Zn4 Zn 0.311 0.500 0.982 1
Zn5 Zn 0.500 0.000 0.911 1
Zn6 Zn 0.500 0.500 0.411 1
Zn7 Zn 0.689 0.000 0.482 1
Zn8 Zn 0.689 0.500 0.982 1
Ga1 Ga 0.191 0.000 0.710 1
Ga2 Ga 0.191 0.500 0.210 1
Ga3 Ga 0.809 0.000 0.710 1
Ga4 Ga 0.809 0.500 0.210 1
```

Top 10 peaks for 10 to 90 degrees two-theta, in order of rising 2θ:
Position (°2θ), intensity, index
21.4, 26, 1 0 2
25.1, 28, 1 1 1
26.5, 21, 2 0 0
34.0, 32, 0 0 4
34.2, 100, 2 1 1
34.9, 98, 1 1 3
39.6, 41, 0 2 0
42.2, 29, 2 1 3
43.9, 28, 3 0 2
60.6, 22, 3 2 2